This entry pairs a crystal structure of Ca10V6O25 with its computed powder diffraction line list. Radiation: Cu Kα, 1.54184 Å. Structure: a crystal structure in Alexandria, relaxed with PBE+U.
Intensities are scaled so that the largest is 100.

Atomic structure:
```
41
Lattice="10.205 0.000 0.000 -5.102 8.838 0.000 0.000 0.000 6.858" Properties=species:S:1:pos:R:3 pbc="T T T"
Ca 0.000 0.000 1.674
Ca 0.000 0.000 5.185
Ca 0.000 5.892 1.724
Ca 0.000 5.892 5.134
Ca 2.235 2.750 3.429
Ca 4.247 0.902 0.000
Ca 3.760 4.709 0.000
Ca 6.705 0.560 3.429
Ca 7.300 3.227 0.000
Ca 6.367 5.527 3.429
V -1.266 2.710 3.429
V -2.796 6.383 0.000
V -2.123 8.578 3.429
V 0.973 3.225 0.000
V 1.823 8.067 0.000
V 3.388 6.386 3.429
O -2.878 5.318 1.376
O -2.878 5.318 5.482
O -4.048 7.568 0.000
O -3.728 7.808 3.429
O 0.205 1.705 3.429
O 0.572 1.548 0.000
O -0.840 4.387 3.429
O -0.463 4.220 0.000
O -1.216 7.128 0.000
O -0.883 7.371 3.429
O 3.038 0.833 2.084
O 3.038 0.833 4.774
O 1.936 3.687 1.376
O 1.936 3.687 5.482
O 1.723 5.917 3.429
O 1.679 6.326 0.000
O 0.942 8.671 1.376
O 0.942 8.671 5.482
O 5.102 2.946 0.000
O 4.305 5.790 2.084
O 4.305 5.790 4.774
O 3.524 8.162 3.429
O 3.476 8.559 0.000
O 7.964 2.214 2.084
O 7.964 2.214 4.774
```

Top 10 peaks for 2θ from 15° to 90°, in order of rising 2θ:
2θ (°)  I_rel
21.71  29
25.98  35
26.69  24
29.75  100
30.34  61
31.43  41
33.08  49
44.25  34
48.24  32
52.43  26